Calculated X-ray diffraction stick pattern of PmEr2MoO8 for a wavelength of 1.5418 Å, from a cell relaxed with GGA+U.

Crystal structure
```
12
Lattice="3.539 -3.568 0.000 3.539 3.568 0.000 0.000 0.000 6.888" Properties=species:S:1:pos:R:3 pbc="T T T"
Pm 0.000 0.000 0.000
Er 3.539 0.000 1.770
Er 3.539 0.000 5.118
Mo 0.000 0.000 3.444
O 3.539 2.243 2.018
O 3.539 2.243 4.871
O 1.966 0.000 3.444
O 2.245 0.000 0.000
O 4.833 0.000 0.000
O 5.112 0.000 3.444
O 3.539 -2.243 2.018
O 3.539 -2.243 4.871
```

Peak list (12 most intense, 10 to 90 degrees two-theta, by angle)
two_theta	d/Å	I (rel.)
24.96	3.568	57.4
25.16	3.539	54.8
31.49	2.841	100.0
35.74	2.513	28.7
48.24	1.886	39.5
48.48	1.878	38.0
51.66	1.769	9.4
58.20	1.585	9.5
59.61	1.551	10.6
61.56	1.506	22.2
65.74	1.420	11.2
87.04	1.119	9.4